1.
Theoretical powder XRD pattern of CaRh6S8 for Cu Kα (weighted mean of Kα1 and Kα2), from the PBE geometry in Alexandria.
Intensities are scaled so that the largest is 100.

Top 6 peaks for 2θ = 10–90°, low angle first:
2θ/deg	Rel. int.	hkl
13.78	100	1 0 1
31.01	38	3 -1 1
34.13	69	3 -2 2
42.02	32	4 -3 1
44.71	27	2 1 4
46.86	41	2 2 3

Structure:
abc: 9.1264 9.1264 11.0347
angles: 90.00 90.00 120.00
Space group R-3 (No. 148, hexagonal axes)
Unique sites:
Ca: 0.0000 0.0000 0.0000 x3
Rh: 0.0165 0.1998 0.3867 x18
S: 0.0000 0.0000 0.2480 x6
S: 0.0057 0.3883 0.2476 x18

2.
Theoretical powder XRD pattern of Ca3Sb2Rh2 for Cu Kα (weighted mean of Kα1 and Kα2), from the PBE geometry in Alexandria.
Intensities are scaled so that the largest is 100.

Top 6 peaks for 2θ = 10–90°, low angle first:
2θ/deg	Rel. int.	hkl
19.65	64	1 1 1
19.99	67	1 0 2
32.65	75	2 1 0
35.42	59	1 3 0
38.19	100	2 1 3
44.82	41	0 2 6

Structure:
abc: 5.798 8.453 13.822
angles: 90.00 90.00 90.00
Space group Pbcm (No. 57)
Unique sites:
Ca: 0.133 0.240 0.250 x4
Ca: 0.352 0.604 0.099 x8
Sb: 0.130 0.250 0.000 x4
Sb: 0.360 0.607 0.750 x4
Rh: 0.131 0.531 0.587 x8